The following is a computed X-ray diffraction stick pattern of Cr3As. It was derived from a crystal structure in the Materials Project, relaxed with PBE, using Cu Kα.
Neutral-atom scattering factors, no anomalous dispersion.

Atomic structure:
```
Cr3As
1.0
3.4714 0.0000 0.0000
0.0000 3.4714 0.0000
0.0000 0.0000 8.1813
Cr As
6 2
Cartesian
0.0000 0.0000 0.0000 Cr
0.0000 1.7357 2.0453 Cr
0.0000 1.7357 6.1360 Cr
1.7357 0.0000 2.0453 Cr
1.7357 0.0000 6.1360 Cr
1.7357 1.7357 4.0906 Cr
0.0000 0.0000 4.0906 As
1.7357 1.7357 0.0000 As
```

Most intense lines, 15 to 90 degrees two-theta, by angle:
d_spacing  2θ (°)  intensity
2.105  43.0  100
2.045  44.3  23
1.736  52.7  26
1.323  71.3  20
1.227  77.8  8
1.192  80.6  14